No. 1
This entry pairs a crystal structure of K4MgW2O8 with its simulated powder diffractogram. Radiation: CuKα. Structure: DFT lattice parameters and positions (GGA+U).

Structural model:
```
data_K4MgW2O8
_chemical_formula_sum 'K8 Mg2 W4 O16'
_cell_length_a 15.8795
_cell_length_b 6.8098
_cell_length_c 7.2065
_cell_angle_alpha 90.00
_cell_angle_beta 109.03
_cell_angle_gamma 90.00
_space_group_name_H-M_alt 'C 1 2 1'
_space_group_IT_number 5
_space_group_name_Hall 'C 2y'
loop_
_atom_site_label
_atom_site_type_symbol
_atom_site_fract_x
_atom_site_fract_y
_atom_site_fract_z
K1 K 0.0614 0.0000 0.2857
K2 K 0.2250 0.5613 0.8088
Mg1 Mg 0.0000 0.4246 0.5000
W1 W 0.1626 0.5342 0.2726
O1 O 0.0825 0.5972 0.4033
O2 O 0.1333 0.3078 0.1351
O3 O 0.1650 0.7329 0.1049
O4 O 0.2289 0.0017 0.5473
```

The 8 most intense peaks (2θ from 10° to 90°), most intense first:
hkl 2 0 -1, 2θ = 14.4°, d 6.138, I = 100.0
hkl 3 1 0, 2θ = 22.0°, d 4.032, I = 94.6
hkl 0 2 0, 2θ = 26.2°, d 3.405, I = 79.8
hkl 2 0 1, 2θ = 20.3°, d 4.383, I = 71.4
hkl 3 1 -2, 2θ = 29.5°, d 3.023, I = 67.2
hkl 1 1 0, 2θ = 14.3°, d 6.201, I = 47.9
hkl 5 1 1, 2θ = 38.8°, d 2.319, I = 45.2
hkl 1 1 1, 2θ = 20.6°, d 4.306, I = 44.9

***

No. 2
This entry pairs a crystal structure of K4MnMo4O15 with its simulated powder diffractogram. Radiation: CuKα. Structure: DFT lattice parameters and positions (GGA+U).

Structural model:
```
data_K4MnMo4O15
_chemical_formula_sum 'K8 Mn2 Mo8 O30'
_cell_length_a 10.5686
_cell_length_b 10.5686
_cell_length_c 8.3569
_cell_angle_alpha 90.00
_cell_angle_beta 90.00
_cell_angle_gamma 120.00
_space_group_name_H-M_alt 'P -3'
_space_group_IT_number 147
_space_group_name_Hall '-P 3'
loop_
_atom_site_label
_atom_site_type_symbol
_atom_site_fract_x
_atom_site_fract_y
_atom_site_fract_z
K1 K 0.0000 0.0000 0.0000
K2 K 0.0000 0.0000 0.5000
K3 K 0.0883 0.3931 0.3597
Mn1 Mn 0.3333 0.6667 0.0334
Mo1 Mo 0.0171 0.3420 0.8602
Mo2 Mo 0.3333 0.6667 0.6422
O1 O 0.0073 0.2184 0.7087
O2 O 0.0168 0.2752 0.0536
O3 O 0.1427 0.6367 0.1604
O4 O 0.1775 0.6574 0.5496
O5 O 0.1865 0.5208 0.8377
```

The 8 most intense peaks (2θ from 10° to 90°), most intense first:
hkl 1 1 2, 2θ = 27.2°, d 3.278, I = 100.0
hkl 3 0 0, 2θ = 29.3°, d 3.051, I = 90.9
hkl 2 -1 1, 2θ = 19.9°, d 4.466, I = 63.9
hkl 0 0 1, 2θ = 10.6°, d 8.357, I = 26.9
hkl 5 -4 1, 2θ = 46.8°, d 1.943, I = 26.8
hkl 3 -2 2, 2θ = 33.6°, d 2.665, I = 23.9
hkl 2 0 2, 2θ = 28.9°, d 3.086, I = 23.2
hkl 4 1 2, 2θ = 50.7°, d 1.802, I = 22.0

***

No. 3
This entry pairs a crystal structure of K2NaMnO4 with its simulated powder diffractogram. Radiation: CuKα. Structure: DFT lattice parameters and positions (GGA+U).

Structural model:
```
data_K2NaMnO4
_chemical_formula_sum 'K32 Na16 Mn16 O64'
_cell_length_a 10.5933
_cell_length_b 11.5025
_cell_length_c 17.3097
_cell_angle_alpha 90.00
_cell_angle_beta 90.00
_cell_angle_gamma 90.00
_space_group_name_H-M_alt 'F d d d'
_space_group_IT_number 70
loop_
_space_group_symop_operation_xyz
'x,y,z'
'-x,-y,-z'
'-x+1/4,-y+1/4,z'
'x+1/4,y+1/4,-z'
'x,-y+1/4,-z+1/4'
'-x,y+1/4,z+1/4'
'-x+1/4,y,-z+1/4'
'x+1/4,-y,z+1/4'
'x,y+1/2,z+1/2'
'-x,-y+1/2,-z+1/2'
'-x+1/4,-y+3/4,z+1/2'
'x+1/4,y+3/4,-z+1/2'
'x,-y+3/4,-z+3/4'
'-x,y+3/4,z+3/4'
'-x+1/4,y+1/2,-z+3/4'
'x+1/4,-y+1/2,z+3/4'
'x+1/2,y,z+1/2'
'-x+1/2,-y,-z+1/2'
'-x+3/4,-y+1/4,z+1/2'
'x+3/4,y+1/4,-z+1/2'
'x+1/2,-y+1/4,-z+3/4'
'-x+1/2,y+1/4,z+3/4'
'-x+3/4,y,-z+3/4'
'x+3/4,-y,z+3/4'
'x+1/2,y+1/2,z'
'-x+1/2,-y+1/2,-z'
'-x+3/4,-y+3/4,z'
'x+3/4,y+3/4,-z'
'x+1/2,-y+3/4,-z+1/4'
'-x+1/2,y+3/4,z+1/4'
'-x+3/4,y+1/2,-z+1/4'
'x+3/4,-y+1/2,z+1/4'
loop_
_atom_site_label
_atom_site_type_symbol
_atom_site_fract_x
_atom_site_fract_y
_atom_site_fract_z
K1 K 0.0580 0.3750 0.3750
K2 K 0.1250 0.1250 0.5147
Na1 Na 0.1250 0.1250 0.2833
Mn1 Mn 0.1250 0.3688 0.6250
O1 O 0.0060 0.0308 0.3812
O2 O 0.1157 0.2941 0.2058
```

The 8 most intense peaks (2θ from 10° to 90°), most intense first:
hkl 2 2 4, 2θ = 30.9°, d 2.895, I = 100.0
hkl 1 3 5, 2θ = 36.0°, d 2.497, I = 27.1
hkl 3 3 1, 2θ = 34.9°, d 2.569, I = 23.3
hkl 2 6 4, 2θ = 55.2°, d 1.664, I = 22.7
hkl 0 4 0, 2θ = 31.1°, d 2.876, I = 22.0
hkl 0 2 2, 2θ = 18.5°, d 4.790, I = 17.9
hkl 2 0 2, 2θ = 19.7°, d 4.518, I = 17.3
hkl 0 0 4, 2θ = 20.5°, d 4.327, I = 16.8

***

Q: What is the formula in the second record?
A: K4MnMo4O15